Simulated powder diffractogram
Compound: NdDyTmAl
Radiation: λ = 1.5418 Å (Cu Kα)
Structure: DFT lattice parameters and positions (GGA-PBE)

Cell: 3.5216 3.5216 9.0615 Å, 90.00 90.00 90.00°
Space group P4mm (No. 99)
Unique sites:
1 Nd 0.0000 0.0000 0.0000 x1
2 Dy 0.5000 0.5000 0.7051 x1
3 Tm 0.5000 0.5000 0.2876 x1
4 Al 0.0000 0.0000 0.4934 x1

Most intense lines, 2θ = 5–70°, in order of falling intensity:
2θ/deg, Rel. int., index
32.19, 100, 1 0 2
36.07, 44, 1 1 0
27.17, 30, 1 0 1
62.43, 30, 2 1 2
47.31, 20, 1 1 3
29.57, 18, 0 0 3